Entry 1:
Computed X-ray powder pattern of MgSi2 for Cu Kα (weighted mean of Kα1 and Kα2), from a structure optimized by DFT (PBE).
Lines closer than 0.1° are merged.

Main lines, most intense first (10° ≤ 2θ ≤ 80°):
2θ (°)	d/Å	Rel. int.
37.22	2.415	100
38.14	2.360	43
27.99	3.188	27
48.39	1.881	25
28.64	3.117	25
48.86	1.864	24
21.45	4.143	21
41.63	2.169	19
43.62	2.075	17
28.76	3.104	15
30.28	2.951	14
43.17	2.095	14

Structure:
a = 3.7313 Å, b = 5.2620 Å, c = 12.6248 Å
α = 79.96°, β = 83.96°, γ = 70.03°
Element x y z (fractional)
Mg 0.0741 0.2321 0.1026
Mg 0.3500 0.0182 0.6836
Mg 0.6500 0.9818 0.3164
Mg 0.9259 0.7679 0.8974
Si 0.0118 0.7701 0.5397
Si 0.2107 0.2061 0.8887
Si 0.3646 0.5718 0.2047
Si 0.3775 0.5191 0.3953
Si 0.6225 0.4809 0.6047
Si 0.6354 0.4282 0.7953
Si 0.7893 0.7939 0.1113
Si 0.9882 0.2299 0.4603

Entry 2:
Computed X-ray powder pattern of ZnCr2Se2S2 for Cu Kα (weighted mean of Kα1 and Kα2), from a structure optimized by DFT (PBE).
Lines closer than 0.1° are merged.

Main lines, most intense first (10° ≤ 2θ ≤ 80°):
2θ (°)	d/Å	Rel. int.
49.93	1.827	100
28.65	3.115	76
34.73	2.583	63
45.62	1.989	48
24.37	3.653	29
14.85	5.966	25
29.96	2.983	25
69.93	1.345	15
73.29	1.292	14
42.88	2.109	13
37.96	2.370	12
62.25	1.491	12

Structure:
a = 7.3063 Å, b = 7.3063 Å, c = 7.3063 Å
α = 60.00°, β = 60.00°, γ = 60.00°
Element x y z (fractional)
Zn 0.0000 0.0000 0.0000
Zn 0.2500 0.2500 0.2500
Cr 0.1121 0.6293 0.6293
Cr 0.6293 0.1121 0.6293
Cr 0.6293 0.6293 0.1121
Cr 0.6293 0.6293 0.6293
Se 0.3854 0.3854 0.3854
Se 0.3854 0.3854 0.8439
Se 0.3854 0.8439 0.3854
Se 0.8439 0.3854 0.3854
S 0.4081 0.8640 0.8640
S 0.8640 0.4081 0.8640
S 0.8640 0.8640 0.4081
S 0.8640 0.8640 0.8640

Entry 3:
Computed X-ray powder pattern of Cs3PdF5 for Cu Kα (weighted mean of Kα1 and Kα2), from a structure optimized by DFT (PBE).
Lines closer than 0.1° are merged.

Main lines, most intense first (10° ≤ 2θ ≤ 80°):
2θ (°)	d/Å	Rel. int.
25.75	3.460	100
28.08	3.178	45
26.21	3.400	34
36.37	2.470	30
31.48	2.842	27
41.41	2.181	25
45.97	1.974	21
58.04	1.589	13
48.58	1.874	12
54.23	1.691	12
24.77	3.595	12
35.31	2.542	11

Structure:
a = 8.0383 Å, b = 8.0383 Å, c = 6.8001 Å
α = 90.00°, β = 90.00°, γ = 90.00°
Element x y z (fractional)
Cs 0.0000 0.0000 0.0000
Cs 0.1777 0.3223 0.5000
Cs 0.3223 0.8223 0.5000
Cs 0.5000 0.5000 0.0000
Cs 0.6777 0.1777 0.5000
Cs 0.8223 0.6777 0.5000
Pd 0.0000 0.5000 0.0000
Pd 0.5000 0.0000 0.0000
F 0.0000 0.0000 0.5000
F 0.1263 0.6263 0.2047
F 0.1263 0.6263 0.7953
F 0.3737 0.1263 0.2047
F 0.3737 0.1263 0.7953
F 0.5000 0.5000 0.5000
F 0.6263 0.8737 0.2047
F 0.6263 0.8737 0.7953
F 0.8737 0.3737 0.2047
F 0.8737 0.3737 0.7953

Entry 4:
Computed X-ray powder pattern of KRb2ScI6 for Cu Kα (weighted mean of Kα1 and Kα2), from a structure optimized by DFT (PBE).
Lines closer than 0.1° are merged.

Main lines, most intense first (10° ≤ 2θ ≤ 80°):
2θ (°)	d/Å	Rel. int.
24.67	3.609	100
28.56	3.126	75
40.83	2.210	53
48.28	1.885	42
66.94	1.398	20
50.58	1.805	18
65.03	1.434	15
74.33	1.276	14
14.17	6.251	13
79.70	1.203	10
37.37	2.406	9
79.26	1.209	8

Structure:
a = 8.8410 Å, b = 8.8410 Å, c = 8.8410 Å
α = 60.00°, β = 60.00°, γ = 60.00°
Element x y z (fractional)
K 0.0000 0.0000 0.0000
Rb 0.2500 0.2500 0.2500
Rb 0.7500 0.7500 0.7500
Sc 0.5000 0.5000 0.5000
I 0.2688 0.2688 0.7312
I 0.2688 0.7312 0.2688
I 0.2688 0.7312 0.7312
I 0.7312 0.2688 0.2688
I 0.7312 0.2688 0.7312
I 0.7312 0.7312 0.2688

Entry 5:
Computed X-ray powder pattern of UAl8Cu4 for Cu Kα (weighted mean of Kα1 and Kα2), from a structure optimized by DFT (PBE).
Lines closer than 0.1° are merged.

Main lines, most intense first (10° ≤ 2θ ≤ 80°):
2θ (°)	d/Å	Rel. int.
35.15	2.553	100
19.35	4.586	92
41.00	2.201	91
39.29	2.293	62
20.43	4.346	38
32.57	2.749	38
33.19	2.700	34
28.29	3.155	32
41.56	2.173	30
64.63	1.442	30
56.37	1.632	27
47.19	1.926	27

Structure:
a = 6.7133 Å, b = 6.7133 Å, c = 6.7133 Å
α = 99.31°, β = 99.31°, γ = 132.58°
Element x y z (fractional)
U 0.0000 0.0000 0.0000
Al 0.0000 0.0000 0.5000
Al 0.0000 0.5000 0.0000
Al 0.2762 0.5000 0.7762
Al 0.5000 0.0000 0.0000
Al 0.5000 0.2762 0.7762
Al 0.5000 0.5000 0.5000
Al 0.5000 0.7238 0.2238
Al 0.7238 0.5000 0.2238
Cu 0.0000 0.3492 0.3492
Cu 0.0000 0.6508 0.6508
Cu 0.3492 0.0000 0.3492
Cu 0.6508 0.0000 0.6508

Entry 6:
Computed X-ray powder pattern of CeSe2 for Cu Kα (weighted mean of Kα1 and Kα2), from a structure optimized by DFT (PBE).
Lines closer than 0.1° are merged.

Main lines, most intense first (10° ≤ 2θ ≤ 80°):
2θ (°)	d/Å	Rel. int.
11.49	7.700	100
10.39	8.515	81
11.15	7.935	47
19.99	4.441	30
28.09	3.176	29
12.35	7.165	28
12.13	7.296	24
12.48	7.092	18
39.14	2.302	18
20.64	4.303	16
10.03	8.817	16
40.90	2.207	15

Structure:
a = 8.9144 Å, b = 22.6632 Å, c = 22.6690 Å
α = 88.44°, β = 83.97°, γ = 83.87°
Element x y z (fractional)
Ce 0.0381 0.0606 0.0606
Ce 0.0404 0.5605 0.5604
Ce 0.1352 0.7455 0.8962
Ce 0.1363 0.8960 0.7458
Ce 0.2096 0.6005 0.7499
Ce 0.2096 0.7502 0.6005
Ce 0.4146 0.5582 0.9386
Ce 0.4152 0.9385 0.5582
Ce 0.5848 0.0615 0.4418
Ce 0.5854 0.4418 0.0614
Ce 0.7904 0.2498 0.3995
Ce 0.7904 0.3995 0.2501
Ce 0.8637 0.1040 0.2542
Ce 0.8648 0.2545 0.1038
Ce 0.9596 0.4395 0.4396
Ce 0.9619 0.9394 0.9394
Se 0.0143 0.6700 0.8265
Se 0.0146 0.8270 0.6698
Se 0.0634 0.0361 0.1787
Se 0.0638 0.1787 0.0360
Se 0.0671 0.5349 0.6780
Se 0.0673 0.6781 0.5350
Se 0.2019 0.4822 0.4822
Se 0.2020 0.9819 0.9819
Se 0.2853 0.8240 0.8246
Se 0.3115 0.0216 0.4784
Se 0.3117 0.4784 0.0216
Se 0.3209 0.6747 0.9628
Se 0.3222 0.9622 0.6748
Se 0.3647 0.6739 0.6739
Se 0.3897 0.5341 0.8225
Se 0.3898 0.8224 0.5341
Se 0.6102 0.1776 0.4659
Se 0.6103 0.4659 0.1775
Se 0.6353 0.3261 0.3261
Se 0.6778 0.0378 0.3252
Se 0.6791 0.3253 0.0372
Se 0.6883 0.5216 0.9784
Se 0.6885 0.9784 0.5216
Se 0.7147 0.1760 0.1754
Se 0.7980 0.0181 0.0181
Se 0.7981 0.5178 0.5178
Se 0.9327 0.3219 0.4650
Se 0.9329 0.4651 0.3220
Se 0.9362 0.8213 0.9640
Se 0.9366 0.9639 0.8213
Se 0.9854 0.1730 0.3302
Se 0.9857 0.3300 0.1735

Entry 7:
Computed X-ray powder pattern of CsB3O5 for Cu Kα (weighted mean of Kα1 and Kα2), from a structure optimized by DFT (PBE).
Lines closer than 0.1° are merged.

Main lines, most intense first (10° ≤ 2θ ≤ 80°):
2θ (°)	d/Å	Rel. int.
25.34	3.514	100
26.97	3.306	39
32.42	2.761	22
20.75	4.281	22
36.14	2.485	18
28.90	3.090	16
39.28	2.294	16
13.65	6.487	14
37.34	2.408	13
29.26	3.052	12
49.57	1.839	11
58.75	1.572	11

Structure:
a = 6.1043 Å, b = 8.5622 Å, c = 9.9394 Å
α = 90.00°, β = 90.00°, γ = 90.00°
Element x y z (fractional)
Cs 0.0098 0.2370 0.1368
Cs 0.4902 0.7630 0.6368
Cs 0.5098 0.2630 0.8632
Cs 0.9902 0.7370 0.3632
B 0.0288 0.9293 0.8044
B 0.0626 0.1500 0.6426
B 0.2405 0.6276 0.0337
B 0.2595 0.3724 0.5337
B 0.4374 0.8500 0.1426
B 0.4712 0.0707 0.3044
B 0.5288 0.5707 0.1956
B 0.5626 0.3500 0.3574
B 0.7405 0.8724 0.9663
B 0.7595 0.1276 0.4663
B 0.9374 0.6500 0.8574
B 0.9712 0.4293 0.6956
O 0.0534 0.7736 0.7803
O 0.0957 0.5644 0.9445
O 0.1283 0.4824 0.6029
O 0.1582 0.0344 0.7361
O 0.2436 0.2168 0.5622
O 0.2564 0.7832 0.0622
O 0.3418 0.9656 0.2361
O 0.3717 0.5176 0.1029
O 0.4043 0.4356 0.4445
O 0.4466 0.2264 0.2803
O 0.5534 0.7264 0.2197
O 0.5957 0.9356 0.0555
O 0.6283 0.0176 0.3971
O 0.6582 0.4656 0.2639
O 0.7436 0.2832 0.4378
O 0.7564 0.7168 0.9378
O 0.8418 0.5344 0.7639
O 0.8717 0.9824 0.8971
O 0.9043 0.0644 0.5555
O 0.9466 0.2736 0.7197

Entry 8:
Computed X-ray powder pattern of Ho2MgCuSi4O12 for Cu Kα (weighted mean of Kα1 and Kα2), from a structure optimized by DFT (PBE).
Lines closer than 0.1° are merged.

Main lines, most intense first (10° ≤ 2θ ≤ 80°):
2θ (°)	d/Å	Rel. int.
21.39	4.153	100
27.39	3.257	98
13.89	6.374	70
12.60	7.028	64
30.81	2.902	59
34.27	2.616	57
24.07	3.697	50
17.22	5.149	43
39.77	2.267	43
30.13	2.966	35
51.59	1.771	33
24.90	3.576	32

Structure:
a = 5.2541 Å, b = 7.2976 Å, c = 7.9131 Å
α = 62.64°, β = 84.76°, γ = 78.50°
Element x y z (fractional)
Ho 0.0028 0.2923 0.4144
Ho 0.9972 0.7077 0.5856
Mg 0.5000 0.5000 0.0000
Cu 0.0000 0.5000 0.0000
Si 0.4072 0.9216 0.7729
Si 0.4132 0.6926 0.2294
Si 0.5868 0.3074 0.7706
Si 0.5928 0.0784 0.2271
O 0.1670 0.9587 0.6385
O 0.1746 0.5952 0.3653
O 0.3142 0.8177 0.0017
O 0.3411 0.4840 0.7721
O 0.3462 0.2541 0.2286
O 0.4941 0.1484 0.7051
O 0.5059 0.8516 0.2949
O 0.6538 0.7459 0.7714
O 0.6589 0.5160 0.2279
O 0.6858 0.1823 0.9983
O 0.8254 0.4048 0.6347
O 0.8330 0.0413 0.3615